This entry pairs a crystal structure of Li2FeF4 with its calculated powder diffraction line list. Radiation: Cu Kα. Structure: a DFT-relaxed cell (GGA+U, Alexandria).
Kinematic intensities with the Lorentz-polarization factor, no thermal factor.

Cell and atoms:
a b c (Å): 5.2267 3.1762 10.4582
angles (deg): 90.00 112.63 90.00
Atoms (fractional coordinates):
Li1 0.1553 0.0034 0.4224
Li2 0.1553 0.9966 0.9224
Li3 0.8447 0.0034 0.0776
Li4 0.8447 0.9966 0.5776
Fe1 0.5000 0.4970 0.7500
Fe2 0.5000 0.5030 0.2500
F1 0.2433 0.0029 0.1217
F2 0.2433 0.9971 0.6217
F3 0.2697 0.4966 0.8652
F4 0.2697 0.5034 0.3652
F5 0.7303 0.4966 0.6348
F6 0.7303 0.5034 0.1348
F7 0.7567 0.0029 0.3783
F8 0.7567 0.9971 0.8783

Largest 6 diffraction maxima, low angle first, 2θ = 10–90°:
(hkl)  d/Å  I (rel.)
1 0 0  4.825  100.0
1 0 -2  4.350  39.0
1 1 0  2.653  67.4
2 0 -4  2.175  27.8
1 1 2  2.141  54.1
3 1 -2  1.526  37.2